Starting from a crystal structure in the Materials Project, relaxed with PBE+U, the X-ray powder pattern of Fe2Ni3SbP6O24 was calculated for CuKα.

Top 8 peaks for 15° ≤ 2θ ≤ 90°, by intensity:
2theta  I_rel  hkl
20.5  100  1 1 0
24.3  74  1 1 3
33.4  65  2 -1 6
35.9  44  3 0 0
47.9  28  1 2 8
56.1  26  4 1 0
49.8  25  2 2 6
21.0  22  1 0 4

Crystal structure
```
data_Fe2Ni3SbP6O24
_cell_length_a 8.6762
_cell_length_b 8.6762
_cell_length_c 20.4351
_cell_angle_alpha 90.00
_cell_angle_beta 90.00
_cell_angle_gamma 120.00
_symmetry_space_group_name_H-M 'R 3'
_symmetry_Int_Tables_number 146
_symmetry_space_group_name_Hall 'R 3'
loop_
_atom_site_label
_atom_site_fract_x
_atom_site_fract_y
_atom_site_fract_z
Fe1 0.0000 0.0000 0.0000
Fe2 0.0000 0.0000 0.4892
Ni1 0.0000 0.0000 0.1360
Ni2 0.0000 0.0000 0.3460
Ni3 0.0000 0.0000 0.6319
Sb1 0.0000 0.0000 0.8472
P1 0.0054 0.7067 0.2387
P2 0.0385 0.3668 0.4048
O1 0.0064 0.2030 0.8033
O2 0.0066 0.7987 0.3013
O3 0.0102 0.8361 0.9164
O4 0.0127 0.1796 0.4198
O5 0.1344 0.6763 0.8432
O6 0.1447 0.4607 0.3457
O7 0.1637 0.4841 0.7292
O8 0.1635 0.6726 0.2270
```

Starting from a crystal structure in the Materials Project, relaxed with PBE+U, the X-ray powder pattern of Fe3Ni2SnP6O24 was calculated for CuKα.

Top 8 peaks for 15° ≤ 2θ ≤ 90°, by intensity:
2theta  I_rel  hkl
20.5  100  1 1 0
24.3  79  2 -1 3
33.1  74  1 1 6
35.9  44  3 0 0
47.5  30  3 -2 8
49.7  29  2 2 6
56.2  26  1 4 0
62.8  23  4 1 6

Crystal structure
```
data_Fe3Ni2SnP6O24
_cell_length_a 8.6556
_cell_length_b 8.6556
_cell_length_c 20.7722
_cell_angle_alpha 90.00
_cell_angle_beta 90.00
_cell_angle_gamma 120.00
_symmetry_space_group_name_H-M 'R 3'
_symmetry_Int_Tables_number 146
_symmetry_space_group_name_Hall 'R 3'
loop_
_atom_site_label
_atom_site_fract_x
_atom_site_fract_y
_atom_site_fract_z
Fe1 0.0000 0.0000 0.0000
Fe2 0.0000 0.0000 0.2090
Fe3 0.0000 0.0000 0.4984
Ni1 0.0000 0.0000 0.3538
Ni2 0.0000 0.0000 0.8580
Sn1 0.0000 0.0000 0.7106
P1 0.0047 0.2970 0.1044
P2 0.0337 0.6675 0.2700
O1 0.0057 0.7966 0.6663
O2 0.0096 0.8327 0.2786
O3 0.0120 0.2039 0.1653
O4 0.0139 0.1821 0.7809
O5 0.1390 0.4649 0.7100
O6 0.1402 0.6735 0.2110
O7 0.1667 0.6785 0.5958
O8 0.1684 0.4875 0.0954
```

Starting from a crystal structure in the Materials Project, relaxed with PBE+U, the X-ray powder pattern of Fe3Ni2TeP6O24 was calculated for CuKα.

Top 8 peaks for 15° ≤ 2θ ≤ 90°, by intensity:
2theta  I_rel  hkl
20.5  100  1 1 0
24.2  77  2 -1 3
33.2  71  1 1 6
35.9  44  3 0 0
47.5  29  3 -2 8
49.6  28  2 2 6
56.1  25  1 4 0
62.7  23  4 1 6

Crystal structure
```
data_Fe3Ni2TeP6O24
_cell_length_a 8.6746
_cell_length_b 8.6746
_cell_length_c 20.7078
_cell_angle_alpha 90.00
_cell_angle_beta 90.00
_cell_angle_gamma 120.00
_symmetry_space_group_name_H-M 'R 3'
_symmetry_Int_Tables_number 146
_symmetry_space_group_name_Hall 'R 3'
loop_
_atom_site_label
_atom_site_fract_x
_atom_site_fract_y
_atom_site_fract_z
Fe1 0.0000 0.0000 0.0000
Fe2 0.0000 0.0000 0.2103
Fe3 0.0000 0.0000 0.7117
Ni1 0.0000 0.0000 0.3498
Ni2 0.0000 0.0000 0.8560
Te1 0.0000 0.0000 0.4992
P1 0.0016 0.3037 0.6075
P2 0.0437 0.6734 0.7726
O1 0.0078 0.1974 0.6643
O2 0.0095 0.8071 0.1669
O3 0.0138 0.1796 0.2807
O4 0.0139 0.8338 0.7810
O5 0.1221 0.4546 0.2084
O6 0.1400 0.6749 0.7114
O7 0.1673 0.4897 0.5981
O8 0.1678 0.6839 0.0955
```

Starting from a crystal structure in the Materials Project, relaxed with PBE+U, the X-ray powder pattern of Ti3Fe2NiP6O24 was calculated for CuKα.

Top 8 peaks for 15° ≤ 2θ ≤ 90°, by intensity:
2theta  I_rel  hkl
24.3  100  1 1 3
20.5  76  1 1 0
33.2  65  1 1 6
35.9  34  3 0 0
47.6  30  3 -2 8
49.7  24  4 -2 6
56.2  21  4 1 0
25.3  18  2 0 2

Crystal structure
```
data_Ti3Fe2NiP6O24
_cell_length_a 8.6633
_cell_length_b 8.6633
_cell_length_c 20.6922
_cell_angle_alpha 90.00
_cell_angle_beta 90.00
_cell_angle_gamma 120.00
_symmetry_space_group_name_H-M 'R 3'
_symmetry_Int_Tables_number 146
_symmetry_space_group_name_Hall 'R 3'
loop_
_atom_site_label
_atom_site_fract_x
_atom_site_fract_y
_atom_site_fract_z
Ti1 0.0000 0.0000 0.0000
Ti2 0.0000 0.0000 0.2140
Ti3 0.0000 0.0000 0.5031
Fe1 0.0000 0.0000 0.3569
Fe2 0.0000 0.0000 0.8555
Ni1 0.0000 0.0000 0.7162
P1 0.0004 0.2934 0.6101
P2 0.0006 0.7064 0.1079
O1 0.0012 0.2024 0.6712
O2 0.0120 0.1802 0.2792
O3 0.0170 0.8216 0.1676
O4 0.0205 0.8306 0.7849
O5 0.1470 0.4764 0.2150
O6 0.1468 0.6715 0.7138
O7 0.1675 0.4834 0.6000
O8 0.1713 0.6901 0.1003
```

Starting from a crystal structure in the Materials Project, relaxed with PBE+U, the X-ray powder pattern of TiFe3Ni2P6O24 was calculated for CuKα.

Top 8 peaks for 15° ≤ 2θ ≤ 90°, by intensity:
2theta  I_rel  hkl
24.4  100  2 -1 3
20.6  90  1 1 0
33.3  75  2 -1 6
36.1  41  3 0 0
47.8  32  1 2 8
50.0  29  2 2 6
56.5  24  1 4 0
63.2  22  4 1 6

Crystal structure
```
data_TiFe3Ni2P6O24
_cell_length_a 8.6215
_cell_length_b 8.6215
_cell_length_c 20.6153
_cell_angle_alpha 90.00
_cell_angle_beta 90.00
_cell_angle_gamma 120.00
_symmetry_space_group_name_H-M 'R 3'
_symmetry_Int_Tables_number 146
_symmetry_space_group_name_Hall 'R 3'
loop_
_atom_site_label
_atom_site_fract_x
_atom_site_fract_y
_atom_site_fract_z
Ti1 0.0000 0.0000 0.0000
Fe1 0.0000 0.0000 0.2112
Fe2 0.0000 0.0000 0.4990
Fe3 0.0000 0.0000 0.7101
Ni1 0.0000 0.0000 0.3545
Ni2 0.0000 0.0000 0.8544
P1 0.9998 0.7031 0.1059
P2 0.0378 0.3704 0.2718
O1 0.0081 0.2019 0.6663
O2 0.0092 0.8067 0.1667
O3 0.0118 0.1791 0.2806
O4 0.0143 0.8338 0.7803
O5 0.1378 0.4651 0.2102
O6 0.1505 0.6791 0.7120
O7 0.1675 0.6841 0.0945
O8 0.1677 0.4885 0.5975
```

Starting from a crystal structure in the Materials Project, relaxed with PBE+U, the X-ray powder pattern of VFe2Ni3P6O24 was calculated for CuKα.

Top 8 peaks for 15° ≤ 2θ ≤ 90°, by intensity:
2theta  I_rel  hkl
24.5  100  2 -1 3
20.5  96  1 1 0
33.7  72  2 -1 6
36.0  45  3 0 0
48.3  33  1 2 8
50.1  28  2 2 6
56.3  26  1 4 0
63.3  23  1 4 6

Crystal structure
```
data_VFe2Ni3P6O24
_cell_length_a 8.6463
_cell_length_b 8.6463
_cell_length_c 20.2098
_cell_angle_alpha 90.00
_cell_angle_beta 90.00
_cell_angle_gamma 120.00
_symmetry_space_group_name_H-M 'R 3'
_symmetry_Int_Tables_number 146
_symmetry_space_group_name_Hall 'R 3'
loop_
_atom_site_label
_atom_site_fract_x
_atom_site_fract_y
_atom_site_fract_z
V1 0.0000 0.0000 0.0000
Fe1 0.0000 0.0000 0.1496
Fe2 0.0000 0.0000 0.6476
Ni1 0.0000 0.0000 0.2904
Ni2 0.0000 0.0000 0.5028
Ni3 0.0000 0.0000 0.7874
P1 0.0369 0.6675 0.0619
P2 0.0376 0.3687 0.5604
O1 0.9999 0.7943 0.4587
O2 0.0072 0.8373 0.0702
O3 0.0159 0.1897 0.9557
O4 0.0195 0.1867 0.5785
O5 0.1380 0.6817 0.9993
O6 0.1429 0.4594 0.4997
O7 0.1610 0.6721 0.3837
O8 0.1640 0.4850 0.8847
```

Starting from a crystal structure in the Materials Project, relaxed with PBE+U, the X-ray powder pattern of VFe3Ni2P6O24 was calculated for CuKα.

Top 8 peaks for 15° ≤ 2θ ≤ 90°, by intensity:
2theta  I_rel  hkl
24.5  100  1 1 3
20.7  94  1 1 0
33.5  76  2 -1 6
36.2  42  3 0 0
48.1  33  3 -2 8
50.2  29  4 -2 6
56.7  24  4 1 0
63.4  22  5 -4 6

Crystal structure
```
data_VFe3Ni2P6O24
_cell_length_a 8.5966
_cell_length_b 8.5966
_cell_length_c 20.4782
_cell_angle_alpha 90.00
_cell_angle_beta 90.00
_cell_angle_gamma 120.00
_symmetry_space_group_name_H-M 'R 3'
_symmetry_Int_Tables_number 146
_symmetry_space_group_name_Hall 'R 3'
loop_
_atom_site_label
_atom_site_fract_x
_atom_site_fract_y
_atom_site_fract_z
V1 0.0000 0.0000 0.0000
Fe1 0.0000 0.0000 0.2893
Fe2 0.0000 0.0000 0.5001
Fe3 0.0000 0.0000 0.7874
Ni1 0.0000 0.0000 0.1458
Ni2 0.0000 0.0000 0.6456
P1 0.0370 0.3693 0.0602
P2 0.0375 0.6677 0.5599
O1 0.0113 0.8234 0.9545
O2 0.0126 0.1737 0.0664
O3 0.0230 0.8364 0.5731
O4 0.1343 0.4654 0.1225
O5 0.1410 0.4617 0.9988
O6 0.1437 0.6790 0.4998
O7 0.1633 0.4870 0.3854
O8 0.1672 0.6840 0.8864
```

Starting from a crystal structure in the Materials Project, relaxed with PBE+U, the X-ray powder pattern of Fe2Ni3P6WO24 was calculated for CuKα.

Top 8 peaks for 15° ≤ 2θ ≤ 90°, by intensity:
2theta  I_rel  hkl
20.4  100  1 1 0
24.3  63  1 1 3
33.5  61  2 -1 6
35.8  40  3 0 0
21.0  28  1 0 4
47.9  24  1 2 8
56.0  24  1 4 0
49.8  23  2 2 6

Crystal structure
```
data_Fe2Ni3P6WO24
_cell_length_a 8.6893
_cell_length_b 8.6893
_cell_length_c 20.3958
_cell_angle_alpha 90.00
_cell_angle_beta 90.00
_cell_angle_gamma 120.00
_symmetry_space_group_name_H-M 'R 3'
_symmetry_Int_Tables_number 146
_symmetry_space_group_name_Hall 'R 3'
loop_
_atom_site_label
_atom_site_fract_x
_atom_site_fract_y
_atom_site_fract_z
Fe1 0.0000 0.0000 0.0000
Fe2 0.0000 0.0000 0.4916
Ni1 0.0000 0.0000 0.1363
Ni2 0.0000 0.0000 0.3449
Ni3 0.0000 0.0000 0.6308
P1 0.0062 0.7108 0.2373
P2 0.0362 0.3644 0.4018
W1 0.0000 0.0000 0.8463
O1 0.0041 0.8324 0.9121
O2 0.0142 0.1921 0.7976
O3 0.0200 0.1857 0.4212
O4 0.1281 0.6680 0.9673
O5 0.1379 0.6824 0.8417
O6 0.1409 0.4590 0.3430
O7 0.1613 0.4858 0.7278
O8 0.1641 0.6759 0.2263
```